# 1
Structure and calculated XRD peak list of AlSn (a cell relaxed with GGA-PBE; copper Kα).
Lines closer than 0.1° are merged.

Main lines, by angle (10 to 90 degrees two-theta):
two_theta, d (Å), I (rel.)
22.43, 3.964, 100
23.10, 3.850, 90
30.94, 2.890, 69
31.66, 2.826, 71
32.33, 2.769, 97
32.49, 2.756, 96
37.92, 2.372, 50
38.46, 2.341, 45
39.99, 2.255, 44
40.63, 2.221, 38

Atomic structure:
a b c (Å): 3.0702 3.8570 4.2057
angles (deg): 88.64 70.49 86.68
Sites, in units of the cell vectors:
Al1 0.0000 0.0000 0.0000
Sn1 0.2923 0.4983 0.4473

# 2
Structure and calculated XRD peak list of Tb4SmDy4 (a cell relaxed with GGA-PBE; copper Kα).
Lines closer than 0.1° are merged.

Main lines, by angle (10 to 90 degrees two-theta):
two_theta, d (Å), I (rel.)
30.77, 2.905, 100
35.68, 2.516, 51
51.35, 1.779, 36
61.03, 1.518, 29
61.16, 1.515, 14
64.10, 1.453, 12
83.72, 1.155, 6
83.83, 1.154, 12
86.43, 1.126, 11
86.62, 1.124, 6

Atomic structure:
a b c (Å): 7.9614 7.9614 7.9614
angles (deg): 95.71 95.71 143.22
Sites, in units of the cell vectors:
Tb1 0.1672 0.1672 0.3343
Tb2 0.1672 0.8328 0.0000
Tb3 0.8328 0.1672 0.0000
Tb4 0.8328 0.8328 0.6657
Sm1 0.5000 0.5000 0.0000
Dy1 0.1659 0.5000 0.6659
Dy2 0.5000 0.1659 0.6659
Dy3 0.5000 0.8341 0.3341
Dy4 0.8341 0.5000 0.3341

# 3
Structure and calculated XRD peak list of Tl2CdHgCl6 (a cell relaxed with GGA-PBE; copper Kα).
Lines closer than 0.1° are merged.

Main lines, by angle (10 to 90 degrees two-theta):
two_theta, d (Å), I (rel.)
22.49, 3.953, 80
22.99, 3.868, 100
23.10, 3.850, 97
23.65, 3.762, 93
24.94, 3.570, 82
25.17, 3.538, 82
32.76, 2.734, 74
32.96, 2.717, 68
35.70, 2.515, 48
38.52, 2.337, 51

Atomic structure:
a b c (Å): 7.0972 7.1670 7.7661
angles (deg): 94.62 115.38 116.32
Sites, in units of the cell vectors:
Tl1 0.0340 0.2699 0.2992
Tl2 0.9660 0.7301 0.7008
Cd1 0.5000 0.0000 0.5000
Hg1 0.5000 0.5000 0.0000
Cl1 0.0295 0.8167 0.3260
Cl2 0.3882 0.7242 0.1302
Cl3 0.4829 0.7047 0.6745
Cl4 0.5171 0.2953 0.3255
Cl5 0.6118 0.2758 0.8698
Cl6 0.9705 0.1833 0.6740

# 4
Structure and calculated XRD peak list of NaTl4Hg4 (a cell relaxed with GGA-PBE; copper Kα).
Lines closer than 0.1° are merged.

Main lines, by angle (10 to 90 degrees two-theta):
two_theta, d (Å), I (rel.)
32.46, 2.759, 100
34.37, 2.609, 43
43.58, 2.077, 11
49.41, 1.845, 17
56.65, 1.625, 21
60.36, 1.534, 34
67.96, 1.379, 12
72.98, 1.296, 10
81.64, 1.179, 7
82.71, 1.167, 7

Atomic structure:
a b c (Å): 8.0979 8.0979 8.0979
angles (deg): 93.77 93.77 150.28
Sites, in units of the cell vectors:
Na1 0.0000 0.0000 0.0000
Tl1 0.0000 0.3239 0.3239
Tl2 0.0000 0.6761 0.6761
Tl3 0.3239 0.0000 0.3239
Tl4 0.6761 0.0000 0.6761
Hg1 0.3324 0.3324 0.6648
Hg2 0.3324 0.6676 0.0000
Hg3 0.6676 0.3324 0.0000
Hg4 0.6676 0.6676 0.3352